This entry pairs a crystal structure of Li4Mn3Fe3P6O24 with its theoretical XRD peak list. Radiation: Cu Kα, 1.54184 Å. Structure: a structure optimized by DFT (PBE+U).
Peak positions follow from Bragg's law for the DFT cell and can differ from measured ones.

Crystal structure
```
40
Lattice="8.490 0.000 0.000 3.756 7.705 0.000 3.889 2.463 7.255" Properties=species:S:1:pos:R:3 pbc="T T T"
Li 0.000 0.000 0.000
Li 6.332 8.236 3.628
Li 5.722 3.426 1.458
Li 10.499 7.556 4.286
Mn 5.653 5.601 5.127
Mn 9.718 8.185 1.478
Mn 10.820 3.525 3.666
Fe 7.981 7.064 6.258
Fe 6.586 6.187 0.038
Fe 8.449 2.097 2.584
P 4.028 6.223 2.248
P 2.970 1.832 0.721
P 5.349 2.155 4.400
P 8.186 5.560 3.001
P 11.112 5.350 6.549
P 13.523 8.913 5.850
O 6.050 7.724 5.698
O 1.977 2.145 1.869
O 5.074 6.448 3.369
O 3.903 2.001 3.928
O 4.652 5.884 0.821
O 6.768 5.356 6.830
O 5.649 3.577 4.827
O 2.599 0.407 0.235
O 9.269 8.785 5.568
O 7.458 5.938 4.361
O 4.438 1.908 1.186
O 7.204 5.612 1.805
O 6.405 1.707 3.322
O 10.108 6.591 6.732
O 9.247 6.676 2.905
O 8.728 4.125 3.078
O 12.091 8.499 6.250
O 7.277 2.250 0.727
O 10.508 4.469 5.483
O 14.161 9.829 6.903
O 9.640 1.793 4.414
O 11.860 7.638 2.047
O 12.535 5.800 6.185
O 11.578 5.090 2.568
```

Principal peaks in the range 2θ = 5–70°, in order of rising 2θ:
19.63 deg, intensity 44, hkl 1 -1 0
19.86 deg, intensity 100, hkl 1 0 -1
23.67 deg, intensity 67, hkl 1 0 2
32.79 deg, intensity 59, hkl 1 3 2
33.18 deg, intensity 52, hkl 3 1 2
34.48 deg, intensity 75, hkl 1 -2 1

=====

This entry pairs a crystal structure of BaV8O21 with its theoretical XRD peak list. Radiation: Cu Kα, 1.54184 Å. Structure: a structure optimized by DFT (PBE+U).
Peak positions follow from Bragg's law for the DFT cell and can differ from measured ones.

Crystal structure
```
60
Lattice="7.215 0.000 0.000 1.807 7.641 0.000 0.007 0.062 15.177" Properties=species:S:1:pos:R:3 pbc="T T T"
Ba 1.806 0.363 2.855
Ba 7.223 7.340 12.323
V 1.809 6.261 6.459
V 1.802 5.060 0.355
V 1.789 4.720 3.519
V 1.810 2.878 6.510
V 3.614 4.829 8.669
V 3.613 2.984 11.648
V 3.612 2.647 14.814
V 3.613 1.440 8.723
V 5.416 6.262 6.454
V 5.417 5.056 0.363
V 5.416 4.719 3.529
V 5.415 2.873 6.509
V 7.220 4.825 8.667
V 7.241 2.983 11.658
V 7.227 2.643 14.822
V 7.220 1.441 8.718
O 0.004 0.031 7.589
O 1.843 6.924 4.952
O 1.771 6.286 14.389
O 1.842 5.874 1.927
O 1.804 4.715 8.087
O 1.812 4.362 5.474
O 1.810 3.267 14.729
O 1.809 3.206 2.887
O 1.793 2.608 11.507
O 1.808 1.837 8.313
O 1.806 1.683 5.403
O 3.612 6.020 9.745
O 3.612 5.865 6.867
O 3.602 5.163 3.672
O 3.607 4.440 0.429
O 3.618 4.462 12.295
O 3.612 3.327 9.706
O 3.607 2.980 7.082
O 3.564 1.422 0.784
O 3.649 1.827 13.245
O 3.648 0.770 10.225
O 3.611 0.031 7.589
O 5.381 6.933 4.952
O 5.381 5.875 1.933
O 5.465 6.281 14.393
O 5.422 4.722 8.095
O 5.418 4.376 5.471
O 5.412 3.240 2.882
O 5.422 3.263 14.749
O 5.428 2.540 11.505
O 5.417 1.837 8.310
O 5.417 1.682 5.432
O 7.224 6.019 9.774
O 7.221 5.865 6.864
O 7.236 5.094 3.670
O 7.221 4.496 12.290
O 7.220 4.436 0.448
O 7.217 3.340 9.703
O 7.226 2.988 7.090
O 7.187 1.829 13.250
O 7.258 1.416 0.788
O 7.186 0.779 10.225
```

Principal peaks in the range 2θ = 5–70°, in order of rising 2θ:
13.90 deg, intensity 43, hkl 1 0 -1
26.06 deg, intensity 100, hkl 0 2 2
28.00 deg, intensity 43, hkl 2 1 -2
29.39 deg, intensity 66, hkl 0 0 5
30.96 deg, intensity 66, hkl 2 -1 1
42.70 deg, intensity 46, hkl 0 3 4